# 1
This entry pairs a crystal structure of Al5Sb3O16 with its theoretical powder X-ray diffraction pattern. Radiation: Cu Kα. Structure: a PBE-relaxed structure.
Peak positions follow from Bragg's law for the DFT cell and can differ from measured ones.

The 8 most intense peaks (2θ = 5–70°), low angle first:
2θ = 18.7°, d 4.756, I 83, (2 0 0); 2θ = 26.9°, d 3.317, I 99, (2 0 -1); 2θ = 27.5°, d 3.243, I 100, (2 0 1); 2θ = 31.6°, d 2.827, I 46, (1 3 -1); 2θ = 36.2°, d 2.482, I 54, (2 4 0); 2θ = 36.7°, d 2.447, I 51, (0 4 1); 2θ = 41.3°, d 2.187, I 54, (2 4 -1); 2θ = 55.2°, d 1.663, I 42, (2 4 2)

Structural model:
a = 9.515 Å, b = 11.636 Å, c = 4.529 Å
α = 90.00°, β = 91.28°, γ = 90.00°
Space group C2/m (No. 12)
Symmetry-distinct sites (fractional):
Al1 0.000 0.000 0.000 x2
Al2 0.239 0.374 0.003 x8
Sb1 0.000 0.230 0.500 x4
Sb2 0.000 0.500 0.500 x2
O1 0.093 0.368 0.293 x8
O2 0.094 0.117 0.246 x8
O3 0.149 0.500 0.808 x4
O4 0.162 0.246 0.793 x8
O5 0.169 0.000 0.817 x4

***

# 2
This entry pairs a crystal structure of BaInBrCl4 with its theoretical powder X-ray diffraction pattern. Radiation: Cu Kα. Structure: a PBE-relaxed structure.
Peak positions follow from Bragg's law for the DFT cell and can differ from measured ones.

The 8 most intense peaks (2θ = 5–70°), low angle first:
2θ = 10.1°, d 8.796, I 52, (0 0 1); 2θ = 17.8°, d 4.975, I 100, (0 2 0); 2θ = 19.4°, d 4.567, I 28, (2 0 1); 2θ = 22.3°, d 3.988, I 28, (3 1 -1); 2θ = 30.6°, d 2.926, I 21, (1 1 -3); 2θ = 34.0°, d 2.638, I 23, (3 3 -1); 2θ = 34.5°, d 2.597, I 34, (1 1 3); 2θ = 34.8°, d 2.575, I 21, (5 1 -1)

Structural model:
a = 13.319 Å, b = 9.949 Å, c = 9.195 Å
α = 90.00°, β = 106.92°, γ = 90.00°
Space group C2/m (No. 12)
Symmetry-distinct sites (fractional):
Ba1 0.187 0.000 0.084 x4
In1 0.140 0.500 0.269 x4
Br1 0.003 0.000 0.785 x4
Cl1 0.046 0.500 0.824 x4
Cl2 0.196 0.500 0.537 x4
Cl3 0.220 0.318 0.165 x8